Record 1
This entry pairs a crystal structure of SrYBr2 with its simulated X-ray diffraction stick pattern. Radiation: Cu Ka. Structure: a cell relaxed with GGA-PBE.

Main lines, low angle first (2θ = 5–70°):
| 2θ/deg | d [Å] | intensity | h k l |
| --- | --- | --- | --- |
| 22.40 | 3.970 | 117 | 0 0 2 |
| 31.82 | 2.813 | 1000 | 1 1 0 |
| 39.23 | 2.296 | 105 | 1 1 2 |
| 45.57 | 1.991 | 154 | 2 0 0 |
| 51.41 | 1.777 | 147 | 1 0 4 |
| 56.67 | 1.624 | 242 | 2 1 2 |

a = 3.981 Å, b = 3.981 Å, c = 7.939 Å
α = 90.00°, β = 90.00°, γ = 90.00°
Space group P4mm (No. 99)
One atom of each set of equivalent atoms:
Sr1 0.000 0.000 0.000
Y1 0.500 0.500 0.368
Br1 0.000 0.000 0.496
Br2 0.500 0.500 0.790

=====

Record 2
This entry pairs a crystal structure of Ta5Br4 with its simulated X-ray diffraction stick pattern. Radiation: Cu Ka. Structure: a cell relaxed with GGA-PBE.

Main lines, low angle first (2θ = 5–70°):
| 2θ/deg | d [Å] | intensity | h k l |
| --- | --- | --- | --- |
| 11.71 | 7.558 | 552 | 1 1 0 |
| 35.64 | 2.519 | 536 | 3 3 0 |
| 37.76 | 2.382 | 1000 | 3 0 1 |
| 44.98 | 2.015 | 209 | 4 1 1 |
| 51.30 | 1.781 | 183 | 6 0 0 |
| 65.42 | 1.427 | 280 | 6 3 1 |

a = 10.688 Å, b = 10.688 Å, c = 3.204 Å
α = 90.00°, β = 90.00°, γ = 90.00°
Space group I4/mmm (No. 139)
One atom of each set of equivalent atoms:
Ta1 0.000 0.000 0.000
Ta2 0.153 0.153 0.500
Br1 0.000 0.302 0.000

=====

Record 3
This entry pairs a crystal structure of Ta4Br with its simulated X-ray diffraction stick pattern. Radiation: Cu Ka. Structure: a cell relaxed with GGA-PBE.

Main lines, low angle first (2θ = 5–70°):
| 2θ/deg | d [Å] | intensity | h k l |
| --- | --- | --- | --- |
| 21.23 | 4.186 | 70 | 1 1 0 |
| 30.19 | 2.960 | 829 | 2 0 0 |
| 37.20 | 2.417 | 32 | 2 1 1 |
| 43.23 | 2.093 | 1000 | 2 2 0 |
| 53.63 | 1.709 | 227 | 2 2 2 |
| 62.79 | 1.480 | 167 | 4 0 0 |

a = 5.920 Å, b = 5.920 Å, c = 5.920 Å
α = 90.00°, β = 90.00°, γ = 90.00°
Space group Im-3m (No. 229)
One atom of each set of equivalent atoms:
Ta1 0.250 0.250 0.250
Br1 0.000 0.000 0.000